Simulated powder X-ray diffraction pattern of Cd3GePd3 for Cu Ka, from a cell relaxed with GGA-PBE.

Principal peaks in the range 15° ≤ 2θ ≤ 90°, in order of rising 2θ:
two_theta, I (rel.)
19.8, 22.9
39.1, 100.0
40.3, 91.8
57.4, 31.5
70.1, 17.0
72.5, 30.8

Structural model:
abc: 5.5067 5.5067 5.5067
angles: 108.66 108.66 108.66
Fractional positions:
Cd 0.0000 0.5000 0.5000
Cd 0.5000 0.0000 0.5000
Cd 0.5000 0.5000 0.0000
Ge 0.0000 0.0000 0.0000
Pd 0.0000 0.0000 0.5000
Pd 0.0000 0.5000 0.0000
Pd 0.5000 0.0000 0.0000